Theoretical X-ray diffraction stick pattern of Sn3MoF9 for Cu Kα (λ = 1.5418 Å), from a crystal structure in Alexandria, relaxed with PBE+U.

Largest 12 diffraction maxima, in order of rising 2θ, 5 to 70 degrees two-theta:
| 2θ/deg | Rel. int. |
| --- | --- |
| 14.52 | 43 |
| 15.36 | 37 |
| 17.75 | 32 |
| 24.52 | 100 |
| 25.46 | 34 |
| 28.50 | 35 |
| 28.81 | 35 |
| 29.40 | 40 |
| 29.84 | 46 |
| 30.30 | 33 |
| 43.62 | 38 |
| 50.26 | 32 |

Crystal structure
```
Sn3MoF9
1.0
6.3287 -3.5737 0.0000
6.3287 3.5737 0.0000
-4.7692 0.0000 11.5346
Sn Mo F
6 2 18
Cartesian
3.9851 1.5650 1.5447
3.9441 2.0335 5.7673
8.3459 1.6507 0.7003
1.6005 -1.5650 7.3120
6.3287 -2.0335 0.0000
5.9613 -1.6507 6.4676
-1.5800 0.0146 9.3864
0.8046 -0.0146 3.6192
1.7324 1.2010 2.1333
-0.2134 1.5053 8.8800
3.8778 2.0589 3.6188
6.0513 2.7000 1.9894
1.8984 0.8412 5.2373
3.4016 2.0626 9.8997
6.1806 2.3666 5.1091
-0.6522 -1.2010 7.9006
-0.4863 -0.8412 11.0046
2.1712 -1.5053 3.1127
6.9301 0.0105 0.3103
4.5455 -0.0105 6.0776
1.4932 -2.0589 9.3861
7.3945 0.0103 6.7446
9.7792 -0.0103 0.9773
5.7862 -2.0626 4.1324
3.6667 -2.7000 7.7566
3.7960 -2.3666 10.8764
```